The following is a calculated powder diffraction line list of Ba2TiCoO6. It was derived from a GGA+U-relaxed structure, using copper Kα.
Kinematic intensities with the Lorentz-polarization factor, no thermal factor.

Structure:
Unit cell a=5.7424 b=5.7424 c=28.0081 alpha=90.00 beta=90.00 gamma=120.00
Space group R-3m (No. 166, hexagonal axes)
Unique sites:
Ba 0.0000 0.0000 0.1284
Ba 0.0000 0.0000 0.2861
Ti 0.0000 0.0000 0.4050
Co 0.0000 0.0000 0.0000
Co 0.0000 0.0000 0.5000
O 0.0029 0.5015 0.7066
O 0.0377 0.5188 0.1253

The 12 most intense peaks (2θ = 15–90°), most intense first:
(hkl)	Position (°2θ)	I/Imax
1 1 0	31.17	100
1 0 7	28.64	52
0 2 7	42.82	36
0 1 5	23.93	23
3 0 0	55.45	22
2 0 5	39.66	20
2 2 0	64.96	16
2 1 7	53.89	16
1 0 10	36.83	9
0 2 10	48.98	9
0 0 12	38.57	8
2 0 8	44.70	8